The following is a computed X-ray powder pattern of MnNbV2O6. It was derived from a PBE+U-relaxed structure, using λ = 1.5418 Å (Cu Kα).
Kinematic intensities with the Lorentz-polarization factor, no thermal factor.

Peak list (10 most intense, 10 to 90 degrees two-theta, by angle)
2θ = 22.69°, 3.920 Å, intensity 24, (1 0 0)
2θ = 22.91°, 3.881 Å, intensity 22, (0 1 -1)
2θ = 23.28°, 3.821 Å, intensity 26, (-1 1 1)
2θ = 31.37°, 2.851 Å, intensity 100, (1 -1 1)
2θ = 31.84°, 2.811 Å, intensity 47, (1 0 -2)
2θ = 33.56°, 2.671 Å, intensity 42, (1 1 -1)
2θ = 33.96°, 2.640 Å, intensity 79, (-2 1 1)
2θ = 46.33°, 1.960 Å, intensity 21, (2 0 0)
2θ = 50.72°, 1.800 Å, intensity 29, (1 1 1)
2θ = 51.53°, 1.773 Å, intensity 26, (-1 2 2)

Crystal structure
```
10
Lattice="5.2744 0.0000 0.0000 -2.5818 4.6136 0.0000 -2.5447 -1.5197 4.8137" Properties=species:S:1:pos:R:3 pbc="T T T"
Mn 0.0000 0.0000 0.0000
Nb 2.7208 1.5484 2.2600
V 0.0789 0.0349 4.1490
V 0.0596 3.1193 1.7536
O -1.8234 -0.0360 3.1154
O -1.0666 1.6278 0.8045
O -1.5423 3.0144 3.0862
O 1.9434 0.1220 0.8351
O 1.8039 2.8782 0.8236
O 0.9352 1.7209 3.0875
```



The following is a computed X-ray powder pattern of Na2NiPCO7. It was derived from a PBE+U-relaxed structure, using λ = 1.5418 Å (Cu Kα).
Kinematic intensities with the Lorentz-polarization factor, no thermal factor.

Peak list (10 most intense, 10 to 90 degrees two-theta, by angle)
2θ = 16.65°, 5.325 Å, intensity 96, (0 1 1)
2θ = 21.88°, 4.062 Å, intensity 56, (1 1 0)
2θ = 24.24°, 3.672 Å, intensity 37, (1 1 1)
2θ = 26.04°, 3.422 Å, intensity 76, (1 0 -2)
2θ = 26.93°, 3.311 Å, intensity 83, (0 2 0)
2θ = 33.62°, 2.666 Å, intensity 100, (0 2 2)
2θ = 33.85°, 2.648 Å, intensity 45, (1 2 1)
2θ = 34.88°, 2.572 Å, intensity 68, (2 0 0)
2θ = 37.75°, 2.383 Å, intensity 48, (1 1 3)
2θ = 49.10°, 1.855 Å, intensity 35, (0 2 4)

Crystal structure
```
24
Lattice="5.1460 0.0000 0.0000 0.0000 6.6216 0.0000 -0.2280 0.0000 8.9608" Properties=species:S:1:pos:R:3 pbc="T T T"
Na 1.1930 0.0759 2.2602
Na 1.1930 3.2348 2.2602
Na 3.7250 3.3867 6.7006
Na 3.7250 6.5456 6.7006
Ni 0.8977 1.6554 7.6679
Ni 4.0203 4.9662 1.2929
P 1.2676 4.9662 8.2596
P 3.6504 1.6554 0.7012
C 1.2690 1.6554 5.1867
C 3.6490 4.9662 3.7741
O 0.0956 1.6554 5.7443
O 0.7990 4.9662 0.6852
O 0.8717 3.7197 7.4345
O 0.8717 6.2126 7.4345
O 1.4351 1.6554 3.9380
O 2.0953 1.6554 0.4676
O 2.2571 1.6554 6.0356
O 2.6608 4.9662 2.9252
O 2.8227 4.9662 8.4932
O 3.4829 4.9662 5.0229
O 4.0462 0.4090 1.5264
O 4.0462 2.9018 1.5264
O 4.1190 1.6554 8.2756
O 4.8224 4.9662 3.2166
```